For Ba2MgTiO5, a cell relaxed with PBE gives the theoretical X-ray diffraction stick pattern in this record (Cu Ka).
Kinematic intensities with the Lorentz-polarization factor, no thermal factor.

Crystal structure
a b c (Å): 3.530 15.226 10.888
angles (deg): 90.00 90.00 90.00
Space group Cmc2_1 (No. 36)
Unique sites:
Ba  0.000  0.123  0.000
Ba  0.000  0.134  0.643
Mg  0.000  0.215  0.362
Ti  0.000  0.429  0.776
O  0.000  0.059  0.346
O  0.000  0.299  0.968
O  0.000  0.321  0.711
O  0.000  0.344  0.331
O  0.000  0.493  0.638

Peak list (10 most intense, 10° ≤ 2θ ≤ 80°, by intensity)
d_spacing	I_rel	(hkl)
3.277	100	0 2 3
2.496	63	1 1 3
3.807	51	0 4 0
2.908	32	1 1 2
2.898	30	1 3 0
1.946	26	1 5 3
2.558	23	1 3 2
3.120	21	0 4 2
2.471	20	0 6 1
2.801	20	1 3 1

For TbErTiIn, a cell relaxed with PBE gives the theoretical X-ray diffraction stick pattern in this record (Cu Ka).
Kinematic intensities with the Lorentz-polarization factor, no thermal factor.

Crystal structure
a b c (Å): 7.416 7.416 7.416
angles (deg): 90.00 90.00 90.00
Space group F-43m (No. 216)
Unique sites:
Tb  0.000  0.000  0.000
Er  0.000  0.000  0.500
Ti  0.250  0.250  0.250
In  0.250  0.250  0.750

Peak list (10 most intense, 10° ≤ 2θ ≤ 80°, by intensity)
d_spacing	I_rel	(hkl)
2.622	100	2 2 0
1.514	36	4 2 2
1.854	18	4 0 0
3.708	13	2 0 0
1.311	11	4 4 0
1.658	6	4 2 0
4.281	5	1 1 1
2.141	4	2 2 2
1.236	3	6 0 0
2.236	3	3 1 1